This entry pairs a crystal structure of Al2InF7 with its computed XRD peak list. Radiation: Cu Kα X-rays. Structure: a structure optimized by DFT (PBE).
No peak broadening, texture or thermal motion is included.

Crystal structure
```
Al2InF7
1.0
3.166 -6.178 0.000
3.166 6.178 0.000
0.000 0.000 3.539
Al In F
2 1 7
Direct
0.148 0.852 0.000
0.852 0.148 0.000
0.500 0.500 0.500
0.000 0.000 0.000
0.131 0.421 0.000
0.182 0.818 0.500
0.421 0.131 0.000
0.579 0.869 0.000
0.818 0.182 0.500
0.869 0.579 0.000
```

Principal peaks in the range 2θ = 10–90°, most intense first:
2theta  d_spacing  I (rel.)
25.80  3.453  100
29.81  2.997  94
36.35  2.471  48
38.69  2.327  46
48.48  1.878  33
14.34  6.178  33
28.19  3.166  31
50.92  1.793  29